Simulated powder XRD pattern of Rb7EuFe6P8O34 for Cu Ka, from a cell relaxed with PBE+U.
Lines closer than 0.1° are merged.

Principal peaks in the range 10° ≤ 2θ ≤ 90°, by angle:
(1 2 0), 3.382 Å, rel. 54; (2 1 -1), 3.224 Å, rel. 71; (-1 1 3), 3.146 Å, rel. 67; (-2 3 1), 3.056 Å, rel. 100; (-3 1 1), 3.034 Å, rel. 59; (1 1 -3), 2.946 Å, rel. 58

a b c (Å): 9.4315 10.0433 10.1432
angles (deg): 91.96 94.09 116.32
Space group P-1 (No. 2)
Unique sites:
Rb 0.0000 0.0000 0.0000 x1
Rb 0.1255 0.9754 0.3746 x2
Rb 0.1766 0.4392 0.9043 x2
Rb 0.4273 0.7909 0.6577 x2
Eu 0.0000 0.5000 0.5000 x1
Fe 0.3347 0.0945 0.7542 x2
Fe 0.3435 0.4234 0.2772 x2
Fe 0.3439 0.8921 0.0339 x2
P 0.0585 0.7562 0.7833 x2
P 0.2877 0.3325 0.5728 x2
P 0.3063 0.7352 0.3085 x2
P 0.4108 0.2316 0.0383 x2
O 0.0805 0.6298 0.7122 x2
O 0.1169 0.2729 0.2173 x2
O 0.1260 0.7805 0.9318 x2
O 0.1461 0.9035 0.7115 x2
O 0.1594 0.3876 0.5610 x2
O 0.2096 0.7144 0.4286 x2
O 0.2174 0.1757 0.6290 x2
O 0.2417 0.8031 0.1988 x2
O 0.2901 0.5835 0.2521 x2
O 0.3183 0.2196 0.9000 x2
O 0.3203 0.0850 0.1073 x2
O 0.3365 0.3107 0.4323 x2
O 0.4110 0.3651 0.1192 x2
O 0.4129 0.7323 0.9723 x2
O 0.4299 0.4441 0.6654 x2
O 0.4327 0.0059 0.8765 x2
O 0.4844 0.8428 0.3562 x2